(1)
Diffraction record for La3PrY7. The powder diffractogram is simulated, not measured: it uses a GGA-PBE-relaxed structure and Cu Kα, 1.54184 Å.

Cell and atoms:
Cell lengths 6.631, 6.765, 8.786 Å; angles 99.37, 98.71, 94.94 degrees
Element x y z (fractional)
La  0.000  0.000  0.000
La  0.200  0.563  0.160
La  0.800  0.437  0.840
Pr  0.500  0.000  0.500
Y  0.013  0.766  0.584
Y  0.275  0.279  0.785
Y  0.444  0.795  0.854
Y  0.500  0.500  0.500
Y  0.556  0.205  0.146
Y  0.725  0.721  0.215
Y  0.987  0.234  0.416

Top 6 peaks for 2θ from 10° to 90°, low angle first:
31.01°, I 808; 31.39°, I 305; 31.58°, I 1000; 31.77°, I 293; 31.93°, I 328; 32.41°, I 273

***

(2)
Diffraction record for Ag2SbTeS4. The powder diffractogram is simulated, not measured: it uses a GGA-PBE-relaxed structure and Cu Kα, 1.54184 Å.

Cell and atoms:
Cell lengths 7.804, 7.804, 7.832 Å; angles 118.88, 118.88, 88.04 degrees
Element x y z (fractional)
Ag  0.000  0.000  0.000
Ag  0.000  0.000  0.500
Ag  0.000  0.500  0.000
Ag  0.500  0.000  0.500
Sb  0.500  0.500  0.000
Sb  0.500  0.500  0.500
Te  0.000  0.500  0.500
Te  0.500  0.000  0.000
S  0.203  0.714  0.442
S  0.259  0.264  0.522
S  0.264  0.259  0.022
S  0.286  0.797  0.058
S  0.714  0.203  0.942
S  0.736  0.741  0.978
S  0.741  0.736  0.478
S  0.797  0.286  0.558

Top 6 peaks for 2θ from 10° to 90°, low angle first:
27.02°, I 963; 28.12°, I 835; 30.82°, I 1000; 31.95°, I 957; 33.03°, I 880; 45.80°, I 637

***

(3)
Diffraction record for CaCeFe8Sb24. The powder diffractogram is simulated, not measured: it uses a GGA-PBE-relaxed structure and Cu Kα, 1.54184 Å.

Cell and atoms:
Cell lengths 7.942, 7.942, 12.973 Å; angles 90.00, 90.00, 70.54 degrees
Element x y z (fractional)
Ca  0.000  0.000  0.000
Ce  0.500  0.500  0.500
Fe  0.000  0.500  0.000
Fe  0.000  0.500  0.500
Fe  0.251  0.749  0.252
Fe  0.251  0.749  0.748
Fe  0.500  0.000  0.000
Fe  0.500  0.000  0.500
Fe  0.749  0.251  0.252
Fe  0.749  0.251  0.748
Sb  0.004  0.328  0.833
Sb  0.085  0.752  0.419
Sb  0.086  0.086  0.248
Sb  0.170  0.495  0.667
Sb  0.247  0.247  0.086
Sb  0.248  0.915  0.581
Sb  0.251  0.251  0.414
Sb  0.254  0.585  0.919
Sb  0.328  0.004  0.833
Sb  0.414  0.414  0.252
Sb  0.415  0.746  0.081
Sb  0.495  0.170  0.667
Sb  0.505  0.830  0.333
Sb  0.585  0.254  0.919
Sb  0.586  0.586  0.748
Sb  0.672  0.996  0.167
Sb  0.746  0.415  0.081
Sb  0.749  0.749  0.586
Sb  0.752  0.085  0.419
Sb  0.753  0.753  0.914
Sb  0.830  0.505  0.333
Sb  0.914  0.914  0.752
Sb  0.915  0.248  0.581
Sb  0.996  0.672  0.167

Top 6 peaks for 2θ from 10° to 90°, low angle first:
30.83°, I 1000; 36.66°, I 464; 48.63°, I 200; 50.76°, I 207; 58.70°, I 186; 69.51°, I 184